Starting from a crystal structure in Alexandria, relaxed with PBE+U, the powder diffraction line list of LiCrCo3O8 was computed for Cu Kα (λ = 1.5418 Å).

Most intense lines, 10 to 90 degrees two-theta, most intense first:
| two_theta | intensity |
| --- | --- |
| 17.92 | 100 |
| 43.78 | 44 |
| 36.60 | 29 |
| 57.03 | 15 |
| 67.90 | 12 |
| 64.87 | 12 |

Structure:
Cell lengths 5.960, 5.960, 5.960 Å; angles 57.67, 57.67, 57.67 degrees
Fractional coordinates of all 13 atoms:
Li1 0.000 0.000 0.000
Cr1 0.500 0.500 0.500
Co1 0.000 0.000 0.500
Co2 0.000 0.500 0.000
Co3 0.500 0.000 0.000
O1 0.215 0.741 0.741
O2 0.231 0.231 0.231
O3 0.259 0.259 0.785
O4 0.259 0.785 0.259
O5 0.741 0.215 0.741
O6 0.741 0.741 0.215
O7 0.769 0.769 0.769
O8 0.785 0.259 0.259